1.
Structure and calculated powder diffraction line list of Ca2ZnSeN (a crystal structure in Alexandria, relaxed with GGA-PBE; Cu Kα (λ = 1.5418 Å)).
Intensities are scaled so that the largest is 100.

Atomic structure:
Lattice parameters (Å, degrees): 4.957 4.957 4.015 90.00 90.00 90.00
Space group P4/mmm (No. 123)
Inequivalent atoms, fractional coordinates:
Ca1 0.000 0.500 0.000 (multiplicity 2)
Zn1 0.000 0.000 0.500 (multiplicity 1)
Se1 0.500 0.500 0.500 (multiplicity 1)
N1 0.000 0.000 0.000 (multiplicity 1)

Principal peaks in the range 2θ from 5° to 70°, low angle first:
- hkl 1 1 0, d 3.505, 25.41 deg, intensity 14
- hkl 1 1 1, d 2.641, 33.95 deg, intensity 100
- hkl 2 0 0, d 2.479, 36.24 deg, intensity 52
- hkl 2 2 0, d 1.753, 52.19 deg, intensity 17
- hkl 2 0 2, d 1.560, 59.23 deg, intensity 23
- hkl 3 1 1, d 1.460, 63.73 deg, intensity 30

---

2.
Structure and calculated powder diffraction line list of Ca5Si2N6 (a crystal structure in Alexandria, relaxed with GGA-PBE; Cu Kα (λ = 1.5418 Å)).
Intensities are scaled so that the largest is 100.

Atomic structure:
Lattice parameters (Å, degrees): 6.276 10.059 12.049 90.00 99.09 90.00
Space group C2/m (No. 12)
Inequivalent atoms, fractional coordinates:
Ca1 0.000 0.188 0.000 (multiplicity 4)
Ca2 0.000 0.242 0.500 (multiplicity 4)
Ca3 0.057 0.325 0.762 (multiplicity 8)
Ca4 0.088 0.000 0.707 (multiplicity 4)
Si1 0.150 0.500 0.075 (multiplicity 4)
Si2 0.175 0.500 0.569 (multiplicity 4)
N1 0.110 0.500 0.415 (multiplicity 4)
N2 0.143 0.500 0.925 (multiplicity 4)
N3 0.199 0.144 0.373 (multiplicity 8)
N4 0.241 0.147 0.862 (multiplicity 8)

Principal peaks in the range 2θ from 5° to 70°, low angle first:
- hkl 2 0 -1, d 3.118, 28.63 deg, intensity 18
- hkl 0 0 4, d 2.977, 30.02 deg, intensity 19
- hkl 1 3 -2, d 2.725, 32.87 deg, intensity 44
- hkl 2 2 0, d 2.638, 33.98 deg, intensity 20
- hkl 1 3 2, d 2.565, 34.98 deg, intensity 100
- hkl 2 0 -4, d 2.338, 38.50 deg, intensity 30

---

3.
Structure and calculated powder diffraction line list of Ca5Si2N6 (a crystal structure in Alexandria, relaxed with GGA-PBE; Cu Kα (λ = 1.5418 Å)).
Intensities are scaled so that the largest is 100.

Atomic structure:
Lattice parameters (Å, degrees): 9.855 6.075 12.774 90.00 100.09 90.00
Space group C2/c (No. 15)
Inequivalent atoms, fractional coordinates:
Ca1 0.000 0.119 0.250 (multiplicity 4)
Ca2 0.065 0.241 0.999 (multiplicity 8)
Ca3 0.153 0.414 0.716 (multiplicity 8)
Si1 0.223 0.370 0.424 (multiplicity 8)
N1 0.058 0.456 0.373 (multiplicity 8)
N2 0.151 0.042 0.648 (multiplicity 8)
N3 0.224 0.068 0.438 (multiplicity 8)

Principal peaks in the range 2θ from 5° to 70°, low angle first:
- hkl 0 2 2, d 2.735, 32.74 deg, intensity 47
- hkl 3 1 1, d 2.696, 33.24 deg, intensity 100
- hkl 3 1 -3, d 2.550, 35.19 deg, intensity 90
- hkl 0 2 3, d 2.460, 36.53 deg, intensity 79
- hkl 2 0 4, d 2.450, 36.68 deg, intensity 41
- hkl 6 0 -2, d 1.637, 56.19 deg, intensity 32

---

4.
Structure and calculated powder diffraction line list of CaSm2SiN4 (a crystal structure in Alexandria, relaxed with GGA-PBE; Cu Kα (λ = 1.5418 Å)).
Intensities are scaled so that the largest is 100.

Atomic structure:
Lattice parameters (Å, degrees): 3.391 11.992 11.906 90.00 90.00 90.00
Space group Cmcm (No. 63)
Inequivalent atoms, fractional coordinates:
Ca1 0.000 0.104 0.250 (multiplicity 4)
Sm1 0.000 0.369 0.040 (multiplicity 8)
Si1 0.000 0.183 0.750 (multiplicity 4)
N1 0.000 0.000 0.000 (multiplicity 4)
N2 0.000 0.265 0.631 (multiplicity 8)
N3 0.000 0.399 0.250 (multiplicity 4)

Principal peaks in the range 2θ from 5° to 70°, low angle first:
- hkl 0 0 2, d 5.953, 14.88 deg, intensity 100
- hkl 0 2 3, d 3.309, 26.94 deg, intensity 63
- hkl 0 4 0, d 2.998, 29.80 deg, intensity 54
- hkl 1 1 2, d 2.862, 31.26 deg, intensity 79
- hkl 1 3 1, d 2.524, 35.57 deg, intensity 45
- hkl 1 3 2, d 2.372, 37.93 deg, intensity 79

---

5.
Structure and calculated powder diffraction line list of Ca4SiSn3N8 (a crystal structure in Alexandria, relaxed with GGA-PBE; Cu Kα (λ = 1.5418 Å)).
Intensities are scaled so that the largest is 100.

Atomic structure:
Lattice parameters (Å, degrees): 6.5370 6.5370 16.5053 90.00 90.00 120.00
Space group R-3m (No. 166, hexagonal axes)
Inequivalent atoms, fractional coordinates:
Ca1 0.0000 0.0000 0.0000 (multiplicity 3)
Ca2 0.0000 0.5000 0.0000 (multiplicity 9)
Si1 0.0000 0.0000 0.5000 (multiplicity 3)
Sn1 0.0000 0.5000 0.5000 (multiplicity 9)
N1 0.0000 0.0000 0.2394 (multiplicity 6)
N2 0.0219 0.5109 0.2361 (multiplicity 18)

Principal peaks in the range 2θ from 5° to 70°, low angle first:
- hkl 0 0 3, d 5.502, 16.11 deg, intensity 40
- hkl 0 0 6, d 2.751, 32.55 deg, intensity 26
- hkl 2 0 2, d 2.677, 33.47 deg, intensity 70
- hkl 0 2 4, d 2.334, 38.57 deg, intensity 100
- hkl 2 0 8, d 1.667, 55.08 deg, intensity 32
- hkl 2 2 0, d 1.634, 56.29 deg, intensity 31

---

6.
Structure and calculated powder diffraction line list of Ca2SnN2 (a crystal structure in Alexandria, relaxed with GGA-PBE; Cu Kα (λ = 1.5418 Å)).
Intensities are scaled so that the largest is 100.

Atomic structure:
Lattice parameters (Å, degrees): 5.141 11.272 12.118 90.00 90.00 90.00
Space group Cmce (No. 64)
Inequivalent atoms, fractional coordinates:
Ca1 0.000 0.039 0.138 (multiplicity 8)
Ca2 0.000 0.138 0.546 (multiplicity 8)
Sn1 0.000 0.243 0.314 (multiplicity 8)
N1 0.000 0.062 0.360 (multiplicity 8)
N2 0.000 0.151 0.955 (multiplicity 8)

Principal peaks in the range 2θ from 5° to 70°, low angle first:
- hkl 0 2 0, d 5.636, 15.72 deg, intensity 62
- hkl 1 1 2, d 3.703, 24.04 deg, intensity 68
- hkl 1 3 2, d 2.713, 33.02 deg, intensity 77
- hkl 2 0 0, d 2.570, 34.90 deg, intensity 72
- hkl 0 4 2, d 2.555, 35.12 deg, intensity 43
- hkl 1 1 4, d 2.543, 35.30 deg, intensity 100

---

7.
Structure and calculated powder diffraction line list of CaSnN (a crystal structure in Alexandria, relaxed with GGA-PBE; Cu Kα (λ = 1.5418 Å)).
Intensities are scaled so that the largest is 100.

Atomic structure:
Lattice parameters (Å, degrees): 3.528 3.985 10.335 79.67 89.71 64.73
Space group P-1 (No. 2)
Inequivalent atoms, fractional coordinates:
Ca1 0.105 0.292 0.369 (multiplicity 2)
Sn1 0.315 0.862 0.901 (multiplicity 2)
N1 0.415 0.672 0.463 (multiplicity 2)

Principal peaks in the range 2θ from 5° to 70°, low angle first:
- hkl 0 0 1, d 10.135, 8.73 deg, intensity 100
- hkl 0 1 -1, d 3.150, 28.33 deg, intensity 72
- hkl 1 0 -2, d 2.797, 32.00 deg, intensity 55
- hkl 1 1 2, d 2.785, 32.14 deg, intensity 54
- hkl 0 1 3, d 2.723, 32.89 deg, intensity 34
- hkl 0 0 4, d 2.534, 35.43 deg, intensity 27

---

8.
Structure and calculated powder diffraction line list of SrCa2N2 (a crystal structure in Alexandria, relaxed with GGA-PBE; Cu Kα (λ = 1.5418 Å)).
Intensities are scaled so that the largest is 100.

Atomic structure:
Lattice parameters (Å, degrees): 3.9778 3.9778 6.9154 90.00 90.00 120.00
Space group P-3m1 (No. 164)
Inequivalent atoms, fractional coordinates:
Sr1 0.0000 0.0000 0.0000 (multiplicity 1)
Ca1 0.3333 0.6667 0.3502 (multiplicity 2)
N1 0.3333 0.6667 0.7460 (multiplicity 2)

Principal peaks in the range 2θ from 5° to 70°, low angle first:
- hkl 0 1 1, d 3.083, 28.96 deg, intensity 100
- hkl 1 0 2, d 2.440, 36.83 deg, intensity 65
- hkl 0 0 3, d 2.305, 39.08 deg, intensity 15
- hkl 1 1 0, d 1.989, 45.61 deg, intensity 38
- hkl 2 0 1, d 1.671, 54.94 deg, intensity 16
- hkl 1 1 3, d 1.506, 61.59 deg, intensity 22

---

9.
Structure and calculated powder diffraction line list of Sr2CaN2 (a crystal structure in Alexandria, relaxed with GGA-PBE; Cu Kα (λ = 1.5418 Å)).
Intensities are scaled so that the largest is 100.

Atomic structure:
Lattice parameters (Å, degrees): 4.360 13.498 19.185 90.00 90.00 90.00
Space group Cmce (No. 64)
Inequivalent atoms, fractional coordinates:
Sr1 0.000 0.030 0.140 (multiplicity 8)
Sr2 0.000 0.142 0.486 (multiplicity 8)
Ca1 0.000 0.196 0.656 (multiplicity 8)
N1 0.000 0.046 0.605 (multiplicity 8)
N2 0.000 0.189 0.075 (multiplicity 8)

Principal peaks in the range 2θ from 5° to 70°, low angle first:
- hkl 0 0 2, d 9.593, 9.22 deg, intensity 96
- hkl 1 1 3, d 3.481, 25.59 deg, intensity 99
- hkl 1 3 1, d 3.090, 28.89 deg, intensity 100
- hkl 0 4 4, d 2.760, 32.44 deg, intensity 49
- hkl 0 4 5, d 2.534, 35.43 deg, intensity 43
- hkl 1 3 7, d 2.062, 43.90 deg, intensity 62

---

10.
Structure and calculated powder diffraction line list of Sr3CaN (a crystal structure in Alexandria, relaxed with GGA-PBE; Cu Kα (λ = 1.5418 Å)).
Intensities are scaled so that the largest is 100.

Atomic structure:
Lattice parameters (Å, degrees): 7.830 5.464 8.447 90.00 90.00 90.00
Space group Pmma (No. 51)
Inequivalent atoms, fractional coordinates:
Sr1 0.000 0.000 0.210 (multiplicity 4)
Sr2 0.250 0.500 0.000 (multiplicity 2)
Ca1 0.250 0.500 0.500 (multiplicity 2)
N1 0.250 0.000 0.000 (multiplicity 2)

Principal peaks in the range 2θ from 5° to 70°, low angle first:
- hkl 0 0 1, d 8.447, 10.47 deg, intensity 61
- hkl 0 1 2, d 3.342, 26.68 deg, intensity 97
- hkl 2 1 0, d 3.182, 28.04 deg, intensity 100
- hkl 2 0 2, d 2.871, 31.15 deg, intensity 79
- hkl 0 2 0, d 2.732, 32.78 deg, intensity 40
- hkl 2 2 2, d 1.979, 45.85 deg, intensity 52

---

11.
Structure and calculated powder diffraction line list of SrCa2N2 (a crystal structure in Alexandria, relaxed with GGA-PBE; Cu Kα (λ = 1.5418 Å)).
Intensities are scaled so that the largest is 100.

Atomic structure:
Lattice parameters (Å, degrees): 3.767 14.522 3.488 90.00 90.00 90.00
Space group Pmmn (No. 59, origin choice 2)
Inequivalent atoms, fractional coordinates:
Sr1 0.250 0.250 0.041 (multiplicity 2)
Ca1 0.250 0.569 0.736 (multiplicity 4)
N1 0.250 0.101 0.699 (multiplicity 4)

Principal peaks in the range 2θ from 5° to 70°, low angle first:
- hkl 1 1 0, d 3.646, 24.41 deg, intensity 40
- hkl 0 2 1, d 3.144, 28.38 deg, intensity 49
- hkl 1 3 0, d 2.973, 30.06 deg, intensity 100
- hkl 0 4 1, d 2.519, 35.65 deg, intensity 69
- hkl 0 6 0, d 2.420, 37.15 deg, intensity 44
- hkl 1 2 1, d 2.414, 37.25 deg, intensity 39

---

12.
Structure and calculated powder diffraction line list of Sr2CaTcN4 (a crystal structure in Alexandria, relaxed with GGA-PBE; Cu Kα (λ = 1.5418 Å)).
Intensities are scaled so that the largest is 100.

Atomic structure:
Lattice parameters (Å, degrees): 7.756 6.986 5.561 90.00 90.00 90.00
Space group Pmn2_1 (No. 31)
Inequivalent atoms, fractional coordinates:
Sr1 0.245 0.170 0.000 (multiplicity 4)
Ca1 0.000 0.356 0.512 (multiplicity 2)
Tc1 0.000 0.665 0.045 (multiplicity 2)
N1 0.000 0.409 0.948 (multiplicity 2)
N2 0.000 0.660 0.376 (multiplicity 2)
N3 0.203 0.795 0.965 (multiplicity 4)

Principal peaks in the range 2θ from 5° to 70°, low angle first:
- hkl 2 1 0, d 3.390, 26.29 deg, intensity 49
- hkl 0 2 1, d 2.958, 30.21 deg, intensity 56
- hkl 2 1 1, d 2.895, 30.89 deg, intensity 100
- hkl 0 0 2, d 2.781, 32.19 deg, intensity 46
- hkl 2 3 0, d 1.996, 45.43 deg, intensity 35
- hkl 2 3 2, d 1.622, 56.77 deg, intensity 50

---

Which formula does entry 8 have?
SrCa2N2

---

What is the formula in the fourth record?
CaSm2SiN4

---

What did the twelfth record say?
Structure and calculated powder diffraction line list of Sr2CaTcN4 (a crystal structure in Alexandria, relaxed with GGA-PBE; Cu Kα (λ = 1.5418 Å)).
Intensities are scaled so that the largest is 100.

Atomic structure:
Lattice parameters (Å, degrees): 7.756 6.986 5.561 90.00 90.00 90.00
Space group Pmn2_1 (No. 31)
Inequivalent atoms, fractional coordinates:
Sr1 0.245 0.170 0.000 (multiplicity 4)
Ca1 0.000 0.356 0.512 (multiplicity 2)
Tc1 0.000 0.665 0.045 (multiplicity 2)
N1 0.000 0.409 0.948 (multiplicity 2)
N2 0.000 0.660 0.376 (multiplicity 2)
N3 0.203 0.795 0.965 (multiplicity 4)

Principal peaks in the range 2θ from 5° to 70°, low angle first:
- hkl 2 1 0, d 3.390, 26.29 deg, intensity 49
- hkl 0 2 1, d 2.958, 30.21 deg, intensity 56
- hkl 2 1 1, d 2.895, 30.89 deg, intensity 100
- hkl 0 0 2, d 2.781, 32.19 deg, intensity 46
- hkl 2 3 0, d 1.996, 45.43 deg, intensity 35
- hkl 2 3 2, d 1.622, 56.77 deg, intensity 50